(1)
Computed X-ray powder pattern of K3InF4 for copper Kα, from a GGA-PBE-relaxed structure.
No peak broadening, texture or thermal motion is included.

Cell and atoms:
Cell: 10.759 5.543 5.551 Å, 90.00 90.00 90.00°
Atoms (fractional coordinates):
K: 0.000 0.242 0.000
K: 0.250 0.249 0.505
K: 0.250 0.751 0.005
K: 0.500 0.758 0.500
K: 0.750 0.249 0.505
K: 0.750 0.751 0.005
In: 0.000 0.734 0.490
In: 0.500 0.266 0.990
F: 0.000 0.145 0.507
F: 0.000 0.746 0.900
F: 0.246 0.246 0.012
F: 0.254 0.754 0.512
F: 0.500 0.254 0.400
F: 0.500 0.855 0.007
F: 0.746 0.754 0.512
F: 0.754 0.246 0.012

The 6 most intense peaks (2θ = 10–90°), low angle first:
18.0°, I 54; 28.2°, I 86; 32.3°, I 100; 33.3°, I 53; 47.1°, I 64; 55.1°, I 31

=====

(2)
Computed X-ray powder pattern of KInF3 for copper Kα, from a GGA-PBE-relaxed structure.
No peak broadening, texture or thermal motion is included.

Cell and atoms:
Cell: 8.399 8.399 5.598 Å, 90.00 90.00 63.15°
Atoms (fractional coordinates):
K: 0.123 0.377 0.250
K: 0.377 0.123 0.750
K: 0.623 0.877 0.250
K: 0.877 0.623 0.750
In: 0.094 0.906 0.303
In: 0.406 0.594 0.803
In: 0.594 0.406 0.197
In: 0.906 0.094 0.697
F: 0.024 0.272 0.749
F: 0.157 0.843 0.923
F: 0.228 0.476 0.751
F: 0.272 0.024 0.251
F: 0.343 0.657 0.423
F: 0.476 0.228 0.249
F: 0.524 0.772 0.751
F: 0.657 0.343 0.577
F: 0.728 0.976 0.749
F: 0.772 0.524 0.249
F: 0.843 0.157 0.077
F: 0.976 0.728 0.251

The 6 most intense peaks (2θ = 10–90°), low angle first:
12.4°, I 80; 24.9°, I 49; 25.8°, I 37; 28.7°, I 100; 32.0°, I 32; 46.2°, I 45

=====

(3)
Computed X-ray powder pattern of K3InF6 for copper Kα, from a GGA-PBE-relaxed structure.
No peak broadening, texture or thermal motion is included.

Cell and atoms:
Cell: 6.310 6.560 10.922 Å, 90.00 124.61 90.00°
Atoms (fractional coordinates):
K: 0.000 0.000 0.000
K: 0.000 0.500 0.500
K: 0.228 0.052 0.745
K: 0.228 0.448 0.245
K: 0.772 0.552 0.755
K: 0.772 0.948 0.255
In: 0.500 0.000 0.500
In: 0.500 0.500 0.000
F: 0.182 0.176 0.453
F: 0.182 0.324 0.953
F: 0.262 0.736 0.430
F: 0.262 0.764 0.930
F: 0.390 0.055 0.280
F: 0.390 0.445 0.780
F: 0.610 0.555 0.220
F: 0.610 0.945 0.720
F: 0.738 0.236 0.070
F: 0.738 0.264 0.570
F: 0.818 0.676 0.047
F: 0.818 0.824 0.547

The 6 most intense peaks (2θ = 10–90°), low angle first:
16.7°, I 77; 19.5°, I 62; 27.2°, I 45; 27.8°, I 100; 28.0°, I 96; 39.6°, I 63

=====

(4)
Computed X-ray powder pattern of KNbInF6 for copper Kα, from a GGA-PBE-relaxed structure.
No peak broadening, texture or thermal motion is included.

Cell and atoms:
Cell: 6.726 6.726 8.673 Å, 90.00 90.00 120.00°
Atoms (fractional coordinates):
K: 0.333 0.667 0.250
K: 0.667 0.333 0.750
Nb: 0.333 0.667 0.750
Nb: 0.667 0.333 0.250
In: 0.000 0.000 0.000
In: 0.000 0.000 0.500
F: 0.076 0.408 0.631
F: 0.076 0.668 0.869
F: 0.332 0.408 0.869
F: 0.332 0.924 0.631
F: 0.408 0.076 0.131
F: 0.408 0.332 0.369
F: 0.592 0.668 0.631
F: 0.592 0.924 0.869
F: 0.668 0.076 0.369
F: 0.668 0.592 0.131
F: 0.924 0.332 0.131
F: 0.924 0.592 0.369

The 6 most intense peaks (2θ = 10–90°), low angle first:
18.3°, I 32; 25.6°, I 100; 26.5°, I 57; 37.2°, I 36; 46.2°, I 39; 50.1°, I 37

=====

(5)
Computed X-ray powder pattern of KNpIn2F6 for copper Kα, from a GGA-PBE-relaxed structure.
No peak broadening, texture or thermal motion is included.

Cell and atoms:
Cell: 6.558 6.566 6.842 Å, 63.68 61.78 60.25°
Atoms (fractional coordinates):
K: 0.000 0.000 0.000
Np: 0.521 0.501 0.499
In: 0.217 0.226 0.272
In: 0.713 0.778 0.728
F: 0.237 0.816 0.321
F: 0.368 0.646 0.809
F: 0.373 0.187 0.679
F: 0.710 0.776 0.369
F: 0.818 0.357 0.191
F: 0.854 0.230 0.630

The 6 most intense peaks (2θ = 10–90°), low angle first:
15.3°, I 55; 25.2°, I 54; 26.0°, I 56; 26.2°, I 55; 27.1°, I 100; 27.2°, I 41

=====

(6)
Computed X-ray powder pattern of KPaIn2F8 for copper Kα, from a GGA-PBE-relaxed structure.
No peak broadening, texture or thermal motion is included.

Cell and atoms:
Cell: 4.040 8.661 6.907 Å, 90.00 90.06 90.00°
Atoms (fractional coordinates):
K: 0.000 0.000 0.000
Pa: 0.000 0.500 0.000
In: 0.500 0.213 0.500
In: 0.500 0.787 0.500
F: 0.000 0.305 0.188
F: 0.000 0.305 0.812
F: 0.000 0.695 0.188
F: 0.000 0.695 0.812
F: 0.499 0.000 0.719
F: 0.500 0.500 0.173
F: 0.500 0.500 0.827
F: 0.501 0.000 0.281

The 6 most intense peaks (2θ = 10–90°), low angle first:
10.2°, I 28; 16.4°, I 66; 24.3°, I 100; 25.5°, I 84; 30.3°, I 22; 40.2°, I 62